Structure and calculated powder X-ray diffraction pattern of Sb2XeF13 (a structure optimized by DFT (PBE); Cu Kα, 1.54184 Å).

Top 10 peaks for 10 to 80 degrees two-theta, sorted by position:
19.11°, 4.645 Å, intensity 81, hkl 1 1 0
21.13°, 4.204 Å, intensity 100, hkl 0 0 2
21.80°, 4.078 Å, intensity 96, hkl 1 1 -2
22.06°, 4.030 Å, intensity 89, hkl 1 -2 1
23.27°, 3.823 Å, intensity 60, hkl -2 1 1
24.31°, 3.661 Å, intensity 44, hkl 2 0 0
25.29°, 3.521 Å, intensity 71, hkl -1 2 1
38.96°, 2.312 Å, intensity 47, hkl 1 1 -4
42.36°, 2.134 Å, intensity 34, hkl 3 1 0
43.21°, 2.094 Å, intensity 34, hkl 2 -4 0

Crystal structure
```
data_Sb2XeF13
_cell_length_a 8.0809
_cell_length_b 8.8510
_cell_length_c 9.2558
_cell_angle_alpha 104.95
_cell_angle_beta 104.38
_cell_angle_gamma 105.47
_space_group_name_H-M_alt 'P -1'
_space_group_IT_number 2
loop_
_space_group_symop_operation_xyz
'x,y,z'
'-x,-y,-z'
loop_
_atom_site_label
_atom_site_type_symbol
_atom_site_fract_x
_atom_site_fract_y
_atom_site_fract_z
_atom_site_occupancy
Sb1 Sb 0.1706 0.4620 0.2844 1
Sb2 Sb 0.3228 0.0467 0.2109 1
Xe1 Xe 0.2446 0.2552 0.7497 1
F1 F 0.0702 0.9079 0.1167 1
F2 F 0.0838 0.6661 0.8101 1
F3 F 0.1266 0.6678 0.3327 1
F4 F 0.1499 0.0016 0.6606 1
F5 F 0.1679 0.4316 0.4803 1
F6 F 0.1824 0.4548 0.0796 1
F7 F 0.2183 0.2396 0.2320 1
F8 F 0.3042 0.0605 0.4151 1
F9 F 0.3226 0.0652 0.0101 1
F10 F 0.3413 0.5088 0.8392 1
F11 F 0.4057 0.8631 0.1870 1
F12 F 0.4296 0.5692 0.3699 1
F13 F 0.4401 0.7879 0.6903 1
```